Starting from a crystal structure in the Materials Project, relaxed with PBE+U, the X-ray powder pattern of Li2V3P9O28 was computed for Cu Ka.

Structural model:
```
42
Lattice="7.064 0.000 0.000 -1.414 9.054 0.000 -3.149 -3.933 7.800" Properties=species:S:1:pos:R:3 pbc="T T T"
Li 0.116 3.235 1.732
Li 2.385 1.886 6.068
V 0.000 0.000 0.000
V -1.276 1.698 5.897
V 3.777 3.423 1.904
P -0.260 0.179 3.274
P -1.423 4.601 4.260
P -1.279 -1.283 7.277
P 0.946 7.018 0.842
P 1.958 -1.966 3.900
P 1.555 -1.897 6.959
P 3.780 6.404 0.524
P 3.925 0.520 3.541
P 2.762 4.942 4.527
O -2.767 5.465 4.418
O -1.427 3.890 2.899
O -2.505 -2.144 7.151
O -0.064 0.786 1.891
O -2.478 1.984 7.624
O -1.277 -0.201 6.228
O -1.326 3.653 5.433
O 0.362 8.374 0.548
O 0.463 -1.194 3.525
O -0.015 1.242 4.324
O 0.601 6.449 2.288
O -0.286 5.664 4.394
O 2.016 3.182 0.922
O -0.016 -2.215 6.944
O 2.517 7.336 0.857
O 0.485 1.939 6.878
O 2.788 -0.543 3.407
O 1.901 -1.328 5.512
O 2.516 3.879 3.476
O 2.038 6.315 4.275
O 2.139 -3.253 7.253
O 3.827 1.468 2.368
O 3.778 5.322 1.573
O 4.979 3.137 0.177
O 2.565 4.335 5.909
O 5.006 7.265 0.649
O 3.928 1.231 4.902
O 5.268 -0.344 3.382
```

The 10 most intense peaks (2θ from 10° to 90°), sorted by position:
2θ 17.20, I = 100, hkl 1 1 -1; 2θ 18.01, I = 58, hkl -1 1 1; 2θ 22.99, I = 39, hkl 1 -2 1; 2θ 23.51, I = 65, hkl 0 2 -2; 2θ 25.47, I = 27, hkl 1 2 -1; 2θ 28.33, I = 29, hkl 2 0 0; 2θ 29.57, I = 81, hkl 0 1 2; 2θ 29.90, I = 43, hkl 2 -2 0; 2θ 30.68, I = 34, hkl 0 3 -2; 2θ 31.10, I = 31, hkl 1 2 -3